No. 1
For CsUPdI6, DFT lattice parameters and positions (PBE) gives the calculated XRD peak list in this record (CuKα).
No peak broadening, texture or thermal motion is included.

Principal peaks in the range 10 to 90 degrees two-theta, most intense first:
2θ/deg	Rel. int.
30.80	100
25.53	80
16.70	67
41.36	41
38.13	28
46.74	25
52.43	25
37.67	19

Structure:
Cell lengths 7.5614, 7.5614, 9.0639 Å; angles 90.00, 90.00, 120.00 degrees
Element x y z (fractional)
Cs 0.0000 0.0000 0.0000
U 0.3333 0.6667 0.5000
Pd 0.6667 0.3333 0.5000
I 0.3617 0.0093 0.6905
I 0.3617 0.3523 0.3095
I 0.6477 0.0093 0.3095
I 0.6477 0.6383 0.6905
I 0.9907 0.3523 0.6905
I 0.9907 0.6383 0.3095

---

No. 2
For Ac2AuS2O2, DFT lattice parameters and positions (PBE) gives the calculated XRD peak list in this record (CuKα).
No peak broadening, texture or thermal motion is included.

Principal peaks in the range 10 to 90 degrees two-theta, most intense first:
2θ/deg	Rel. int.
25.28	100
28.75	50
42.25	32
39.95	29
23.45	24
48.88	22
49.87	16
46.84	15

Structure:
Cell lengths 4.2783, 4.2783, 11.3824 Å; angles 90.00, 90.00, 120.00 degrees
Element x y z (fractional)
Ac 0.3333 0.6667 0.1389
Ac 0.6667 0.3333 0.8611
Au 0.0000 0.0000 0.5000
S 0.0000 0.0000 0.3020
S 0.0000 0.0000 0.6980
O 0.3333 0.6667 0.9206
O 0.6667 0.3333 0.0794

---

No. 3
For Ac2NdIn, DFT lattice parameters and positions (PBE) gives the calculated XRD peak list in this record (CuKα).
No peak broadening, texture or thermal motion is included.

Principal peaks in the range 10 to 90 degrees two-theta, most intense first:
2θ/deg	Rel. int.
27.18	100
31.18	32
31.29	30
30.48	27
34.71	26
35.50	25
50.49	18
47.47	16

Structure:
Cell lengths 5.1683, 5.0582, 11.9989 Å; angles 90.00, 102.15, 90.00 degrees
Element x y z (fractional)
Ac 0.0619 0.2500 0.1273
Ac 0.4288 0.2500 0.8534
Ac 0.5712 0.7500 0.1466
Ac 0.9381 0.7500 0.8727
Nd 0.3053 0.7500 0.6053
Nd 0.6947 0.2500 0.3947
In 0.1644 0.7500 0.3372
In 0.8356 0.2500 0.6628

---

No. 4
For ErPaCu10, DFT lattice parameters and positions (PBE) gives the calculated XRD peak list in this record (CuKα).
No peak broadening, texture or thermal motion is included.

Principal peaks in the range 10 to 90 degrees two-theta, most intense first:
2θ/deg	Rel. int.
42.32	100
29.97	89
42.12	51
44.15	40
41.51	36
35.90	34
68.64	23
62.20	21

Structure:
Cell lengths 4.1029, 5.0343, 8.6466 Å; angles 90.00, 90.00, 90.00 degrees
Element x y z (fractional)
Er 0.0000 0.0000 0.0000
Pa 0.0000 0.5000 0.5000
Cu 0.0000 0.0000 0.3323
Cu 0.0000 0.0000 0.6677
Cu 0.0000 0.5000 0.1659
Cu 0.0000 0.5000 0.8341
Cu 0.5000 0.0000 0.5000
Cu 0.5000 0.2519 0.2515
Cu 0.5000 0.2519 0.7485
Cu 0.5000 0.5000 0.0000
Cu 0.5000 0.7481 0.2515
Cu 0.5000 0.7481 0.7485

---

No. 5
For SbPC3S3N3Cl3O, DFT lattice parameters and positions (PBE) gives the calculated XRD peak list in this record (CuKα).
No peak broadening, texture or thermal motion is included.

Principal peaks in the range 10 to 90 degrees two-theta, most intense first:
2θ/deg	Rel. int.
24.27	100
31.09	78
25.77	71
20.98	59
45.44	47
19.13	47
43.63	41
22.68	40

Structure:
Cell lengths 12.7027, 12.7027, 12.7027 Å; angles 109.47, 109.47, 109.47 degrees
Element x y z (fractional)
Sb 0.0000 0.0000 0.2158
Sb 0.0000 0.2158 0.0000
Sb 0.2158 0.0000 0.0000
Sb 0.7842 0.7842 0.7842
P 0.0000 0.0000 0.6639
P 0.0000 0.6639 0.0000
P 0.3361 0.3361 0.3361
P 0.6639 0.0000 0.0000
C 0.0000 0.5023 0.7839
C 0.0000 0.7839 0.5023
C 0.2161 0.2161 0.7184
C 0.2161 0.7184 0.2161
C 0.2816 0.4977 0.4977
C 0.4977 0.2816 0.4977
C 0.4977 0.4977 0.2816
C 0.5023 0.0000 0.7839
C 0.5023 0.7839 0.0000
C 0.7184 0.2161 0.2161
C 0.7839 0.0000 0.5023
C 0.7839 0.5023 0.0000
S 0.0000 0.4140 0.6647
S 0.0000 0.6647 0.4140
S 0.2507 0.5860 0.5860
S 0.3353 0.3353 0.7493
S 0.3353 0.7493 0.3353
S 0.4140 0.0000 0.6647
S 0.4140 0.6647 0.0000
S 0.5860 0.2507 0.5860
S 0.5860 0.5860 0.2507
S 0.6647 0.0000 0.4140
S 0.6647 0.4140 0.0000
S 0.7493 0.3353 0.3353
N 0.0000 0.5712 0.8764
N 0.0000 0.8764 0.5712
N 0.1236 0.1236 0.6949
N 0.1236 0.6949 0.1236
N 0.3051 0.4288 0.4288
N 0.4288 0.3051 0.4288
N 0.4288 0.4288 0.3051
N 0.5712 0.0000 0.8764
N 0.5712 0.8764 0.0000
N 0.6949 0.1236 0.1236
N 0.8764 0.0000 0.5712
N 0.8764 0.5712 0.0000
Cl 0.0000 0.1701 0.3713
Cl 0.0000 0.3713 0.1701
Cl 0.1701 0.0000 0.3713
Cl 0.1701 0.3713 0.0000
Cl 0.2012 0.8299 0.8299
Cl 0.3713 0.0000 0.1701
Cl 0.3713 0.1701 0.0000
Cl 0.6287 0.6287 0.7988
Cl 0.6287 0.7988 0.6287
Cl 0.7988 0.6287 0.6287
Cl 0.8299 0.2012 0.8299
Cl 0.8299 0.8299 0.2012
O 0.0000 0.0000 0.7811
O 0.0000 0.7811 0.0000
O 0.2189 0.2189 0.2189
O 0.7811 0.0000 0.0000

---

No. 6
For V3HRh2, DFT lattice parameters and positions (PBE) gives the calculated XRD peak list in this record (CuKα).
No peak broadening, texture or thermal motion is included.

Principal peaks in the range 10 to 90 degrees two-theta, most intense first:
2θ/deg	Rel. int.
41.22	100
46.11	78
36.33	43
44.12	26
14.63	21
65.75	17
29.09	13
44.91	13

Structure:
Cell lengths 6.2557, 6.2557, 6.1266 Å; angles 92.91, 92.91, 141.22 degrees
Element x y z (fractional)
V 0.0094 0.0094 0.2690
V 0.2140 0.5762 0.6965
V 0.4238 0.7860 0.3035
V 0.5762 0.2140 0.6965
V 0.7860 0.4238 0.3035
V 0.9906 0.9906 0.7310
H 0.2150 0.7850 0.5000
H 0.7850 0.2150 0.5000
Rh 0.1664 0.8336 0.0000
Rh 0.5000 0.5000 0.0000
Rh 0.5000 0.5000 0.5000
Rh 0.8336 0.1664 0.0000

---

What did the fourth record say?
For ErPaCu10, DFT lattice parameters and positions (PBE) gives the calculated XRD peak list in this record (CuKα).
No peak broadening, texture or thermal motion is included.

Principal peaks in the range 10 to 90 degrees two-theta, most intense first:
2θ/deg	Rel. int.
42.32	100
29.97	89
42.12	51
44.15	40
41.51	36
35.90	34
68.64	23
62.20	21

Structure:
Cell lengths 4.1029, 5.0343, 8.6466 Å; angles 90.00, 90.00, 90.00 degrees
Element x y z (fractional)
Er 0.0000 0.0000 0.0000
Pa 0.0000 0.5000 0.5000
Cu 0.0000 0.0000 0.3323
Cu 0.0000 0.0000 0.6677
Cu 0.0000 0.5000 0.1659
Cu 0.0000 0.5000 0.8341
Cu 0.5000 0.0000 0.5000
Cu 0.5000 0.2519 0.2515
Cu 0.5000 0.2519 0.7485
Cu 0.5000 0.5000 0.0000
Cu 0.5000 0.7481 0.2515
Cu 0.5000 0.7481 0.7485